1.
Dy2Ni3Ge4Pt: theoretical powder X-ray diffraction pattern (CuKα), based on the PBE geometry in Alexandria.
Intensities are scaled so that the largest is 100.

abc: 4.121 4.121 9.812
angles: 90.00 90.00 90.00
Space group P-4m2 (No. 115)
One atom of each set of equivalent atoms:
Dy 0.000 0.500 0.245
Ni 0.000 0.500 0.878
Ni 0.500 0.500 0.500
Ge 0.000 0.000 0.000
Ge 0.000 0.500 0.642
Ge 0.500 0.500 0.000
Pt 0.000 0.000 0.500

Largest 12 diffraction maxima, sorted by position, 10° ≤ 2θ ≤ 80°:
two_theta  intensity
23.41  14
35.02  47
35.84  100
43.94  50
48.51  9
51.59  19
57.38  22
58.50  9
63.88  16
65.45  13
70.03  15
75.47  23

---

2.
DyNiGe2Rh2: theoretical powder X-ray diffraction pattern (CuKα), based on the PBE geometry in Alexandria.
Intensities are scaled so that the largest is 100.

abc: 4.416 4.416 5.465
angles: 90.00 90.00 90.00
Space group P4/mmm (No. 123)
One atom of each set of equivalent atoms:
Dy 0.000 0.000 0.000
Ni 0.000 0.000 0.500
Ge 0.000 0.500 0.500
Rh 0.500 0.500 0.241

Largest 12 diffraction maxima, sorted by position, 10° ≤ 2θ ≤ 80°:
two_theta  intensity
25.94  10
28.59  49
33.04  54
38.75  100
40.87  78
57.59  62
58.68  7
59.18  26
67.02  8
68.71  8
69.48  13
73.01  15

---

3.
SmDyNi2Ge2: theoretical powder X-ray diffraction pattern (CuKα), based on the PBE geometry in Alexandria.
Intensities are scaled so that the largest is 100.

abc: 4.2378 4.2378 7.2747
angles: 90.00 90.00 120.00
Space group P-3m1 (No. 164)
One atom of each set of equivalent atoms:
Sm 0.0000 0.0000 0.0000
Dy 0.0000 0.0000 0.5000
Ni 0.3333 0.6667 0.7280
Ge 0.3333 0.6667 0.2622

Largest 12 diffraction maxima, sorted by position, 10° ≤ 2θ ≤ 80°:
two_theta  intensity
24.25  18
34.72  100
42.67  49
49.68  3
50.16  9
56.14  25
56.47  4
67.53  2
67.92  22
73.00  22
73.28  2
78.12  8

---

4.
DyNpGe4: theoretical powder X-ray diffraction pattern (CuKα), based on the PBE geometry in Alexandria.
Intensities are scaled so that the largest is 100.

abc: 7.891 7.891 7.891
angles: 90.00 90.00 90.00
Space group F-43m (No. 216)
One atom of each set of equivalent atoms:
Dy 0.000 0.000 0.000
Np 0.250 0.250 0.250
Ge 0.125 0.125 0.625

Largest 12 diffraction maxima, sorted by position, 10° ≤ 2θ ≤ 80°:
two_theta  intensity
19.48  16
22.54  2
32.08  64
37.81  100
39.56  15
50.41  5
57.19  25
61.02  33
67.10  24
70.62  4
76.33  11
79.68  12

---

5.
Dy2Ge2O7: theoretical powder X-ray diffraction pattern (CuKα), based on the PBE geometry in Alexandria.
Intensities are scaled so that the largest is 100.

abc: 7.041 9.244 5.009
angles: 90.00 102.36 90.00
Space group C2 (No. 5)
One atom of each set of equivalent atoms:
Dy 0.000 0.000 0.000
Dy 0.000 0.387 0.000
Ge 0.228 0.692 0.407
O 0.000 0.682 0.500
O 0.102 0.194 0.277
O 0.237 0.850 0.211
O 0.241 0.534 0.211

Largest 12 diffraction maxima, sorted by position, 10° ≤ 2θ ≤ 80°:
two_theta  intensity
16.06  20
18.13  27
26.34  37
26.53  100
28.35  59
31.82  32
32.45  42
34.95  18
35.40  18
45.11  20
51.62  24
56.40  26

---

6.
Dy2Ge2O7: theoretical powder X-ray diffraction pattern (CuKα), based on the PBE geometry in Alexandria.
Intensities are scaled so that the largest is 100.

abc: 6.872 6.872 12.521
angles: 90.00 90.00 90.00
Space group P4_12_12 (No. 92)
One atom of each set of equivalent atoms:
Dy 0.125 0.352 0.115
Ge 0.100 0.152 0.630
O 0.031 0.078 0.873
O 0.065 0.662 0.179
O 0.143 0.316 0.295
O 0.197 0.197 0.500

Largest 12 diffraction maxima, sorted by position, 10° ≤ 2θ ≤ 80°:
two_theta  intensity
14.70  41
26.91  81
28.52  77
29.06  25
29.94  46
32.45  100
33.79  41
48.30  40
53.05  35
53.33  22
61.10  21
61.58  26

---

7.
Dy2Ge2O7: theoretical powder X-ray diffraction pattern (CuKα), based on the PBE geometry in Alexandria.
Intensities are scaled so that the largest is 100.

abc: 4.992 11.123 5.696
angles: 90.00 95.73 90.00
Space group P2_1/c (No. 14)
One atom of each set of equivalent atoms:
Dy 0.107 0.149 0.401
Ge 0.361 0.618 0.653
O 0.120 0.692 0.454
O 0.195 0.549 0.880
O 0.369 0.209 0.728
O 0.500 0.000 0.000

Largest 12 diffraction maxima, sorted by position, 10° ≤ 2θ ≤ 80°:
two_theta  intensity
17.86  15
26.26  61
27.77  100
28.77  13
32.19  22
32.61  30
34.92  27
37.08  22
50.66  12
51.28  12
52.28  14
55.45  12

---

8.
Dy2Ge2O7: theoretical powder X-ray diffraction pattern (CuKα), based on the PBE geometry in Alexandria.
Intensities are scaled so that the largest is 100.

abc: 13.957 8.295 5.303
angles: 90.00 90.00 90.00
Space group Pnma (No. 62)
One atom of each set of equivalent atoms:
Dy 0.125 0.015 0.157
Ge 0.049 0.750 0.628
Ge 0.186 0.250 0.622
O 0.049 0.569 0.799
O 0.082 0.250 0.413
O 0.107 0.750 0.333
O 0.154 0.250 0.940
O 0.237 0.075 0.494

Largest 12 diffraction maxima, sorted by position, 10° ≤ 2θ ≤ 80°:
two_theta  intensity
21.04  50
23.64  19
25.52  44
27.72  29
28.05  58
30.21  100
33.55  43
34.43  27
42.43  33
43.65  23
57.02  21
62.43  20